[1]
Diffraction record for Cr4CoIr7. The PXRD pattern is calculated, not measured: it uses a DFT-relaxed cell (PBE, Alexandria) and λ = 1.5418 Å (Cu Kα).

Structure:
a = 4.669 Å, b = 4.711 Å, c = 7.832 Å
α = 107.47°, β = 92.41°, γ = 90.04°
Sites, in units of the cell vectors:
Cr  0.228  0.153  0.253
Cr  0.229  0.599  0.253
Cr  0.771  0.401  0.747
Cr  0.772  0.847  0.747
Co  0.000  0.000  0.500
Ir  0.165  0.731  0.964
Ir  0.270  0.554  0.609
Ir  0.301  0.162  0.826
Ir  0.500  0.000  0.500
Ir  0.699  0.838  0.174
Ir  0.730  0.446  0.391
Ir  0.835  0.269  0.036

Peak list (10 most intense, 2θ = 5–70°, low angle first)
Position (°2θ)	d (Å)	I (rel.)
22.9	3.879	62
38.2	2.355	48
38.6	2.332	22
40.0	2.254	100
41.3	2.184	29
41.9	2.156	31
44.0	2.059	44
45.0	2.013	55
46.4	1.955	44
46.8	1.942	44

***

[2]
Diffraction record for CrCoIr2. The PXRD pattern is calculated, not measured: it uses a DFT-relaxed cell (PBE, Alexandria) and λ = 1.5418 Å (Cu Kα).

Structure:
a = 4.176 Å, b = 5.368 Å, c = 4.570 Å
α = 90.00°, β = 90.00°, γ = 90.00°
Sites, in units of the cell vectors:
Cr  0.250  0.250  0.163
Cr  0.750  0.750  0.837
Co  0.250  0.750  0.161
Co  0.750  0.250  0.839
Ir  0.250  0.002  0.682
Ir  0.250  0.498  0.682
Ir  0.750  0.502  0.318
Ir  0.750  0.998  0.318

Peak list (10 most intense, 2θ = 5–70°, low angle first)
Position (°2θ)	d (Å)	I (rel.)
19.4	4.570	10
29.0	3.083	49
33.4	2.684	20
38.9	2.314	18
39.4	2.285	16
43.3	2.088	34
44.8	2.024	100
45.2	2.004	38
55.8	1.648	10
59.6	1.550	10